Computed X-ray diffraction stick pattern
Compound: Li3VFeP4O14
Radiation: copper Kα
Structure: a PBE+U-relaxed structure
Neutral-atom scattering factors, no anomalous dispersion.

Cell and atoms:
```
data_Li3VFeP4O14
_cell_length_a 5.001
_cell_length_b 10.918
_cell_length_c 11.008
_cell_angle_alpha 99.38
_cell_angle_beta 102.00
_cell_angle_gamma 102.41
_space_group_name_H-M_alt 'P 1'
_space_group_IT_number 1
loop_
_space_group_symop_operation_xyz
'x,y,z'
loop_
_atom_site_label
_atom_site_type_symbol
_atom_site_fract_x
_atom_site_fract_y
_atom_site_fract_z
_atom_site_occupancy
Li1 Li 0.000 0.000 0.000 1
Li2 Li 0.003 0.500 0.499 1
Li3 Li 0.545 0.027 0.221 1
Li4 Li 0.550 0.527 0.720 1
Li5 Li 0.645 0.087 0.588 1
Li6 Li 0.652 0.590 0.090 1
V1 V 0.611 0.384 0.233 1
V2 V 0.612 0.884 0.734 1
Fe1 Fe 0.026 0.849 0.219 1
Fe2 Fe 0.027 0.350 0.717 1
P1 P 0.034 0.185 0.246 1
P2 P 0.036 0.685 0.746 1
P3 P 0.218 0.095 0.768 1
P4 P 0.223 0.596 0.269 1
P5 P 0.432 0.824 0.996 1
P6 P 0.433 0.324 0.494 1
P7 P 0.603 0.345 0.915 1
P8 P 0.607 0.846 0.415 1
O1 O 0.014 0.999 0.817 1
O2 O 0.020 0.501 0.319 1
O3 O 0.062 0.159 0.674 1
O4 O 0.069 0.660 0.174 1
O5 O 0.202 0.204 0.393 1
O6 O 0.202 0.704 0.893 1
O7 O 0.223 0.258 0.176 1
O8 O 0.224 0.763 0.678 1
O9 O 0.269 0.901 0.069 1
O10 O 0.274 0.403 0.568 1
O11 O 0.390 0.202 0.895 1
O12 O 0.398 0.703 0.396 1
O13 O 0.434 0.035 0.715 1
O14 O 0.439 0.426 0.840 1
O15 O 0.441 0.536 0.217 1
O16 O 0.446 0.928 0.342 1
O17 O 0.592 0.907 0.920 1
O18 O 0.595 0.406 0.418 1
O19 O 0.623 0.762 0.078 1
O20 O 0.628 0.264 0.578 1
O21 O 0.662 0.399 0.058 1
O22 O 0.668 0.899 0.559 1
O23 O 0.754 0.721 0.746 1
O24 O 0.755 0.223 0.246 1
O25 O 0.863 0.329 0.873 1
O26 O 0.868 0.832 0.371 1
O27 O 0.952 0.039 0.193 1
O28 O 0.961 0.540 0.691 1
```

Top 8 peaks for 2θ = 15–90°, low angle first:
2θ 16.87, rel. 86, (0 0 2)
2θ 17.04, rel. 73, (0 2 0)
2θ 21.90, rel. 71, (1 0 -2)
2θ 26.39, rel. 33, (1 1 1)
2θ 28.41, rel. 26, (1 0 2)
2θ 28.60, rel. 32, (1 2 0)
2θ 28.74, rel. 100, (1 -3 1)
2θ 29.24, rel. 28, (-1 3 1)

Computed X-ray diffraction stick pattern
Compound: LiVFeP4O14
Radiation: copper Kα
Structure: a PBE+U-relaxed structure
Neutral-atom scattering factors, no anomalous dispersion.

Cell and atoms:
```
data_LiVFeP4O14
_cell_length_a 4.955
_cell_length_b 7.032
_cell_length_c 8.095
_cell_angle_alpha 90.22
_cell_angle_beta 90.23
_cell_angle_gamma 106.55
_space_group_name_H-M_alt 'P 1'
_space_group_IT_number 1
loop_
_space_group_symop_operation_xyz
'x,y,z'
loop_
_atom_site_label
_atom_site_type_symbol
_atom_site_fract_x
_atom_site_fract_y
_atom_site_fract_z
_atom_site_occupancy
Li1 Li 0.000 0.000 0.000 1
V1 V 0.492 0.213 0.204 1
Fe1 Fe 0.905 0.655 0.686 1
P1 P 0.079 0.437 0.009 1
P2 P 0.304 0.427 0.510 1
P3 P 0.454 0.826 0.930 1
P4 P 0.929 0.035 0.421 1
O1 O 0.111 0.028 0.266 1
O2 O 0.111 0.202 0.545 1
O3 O 0.118 0.564 0.511 1
O4 O 0.251 0.849 0.796 1
O5 O 0.253 0.286 0.023 1
O6 O 0.285 0.653 0.056 1
O7 O 0.427 0.419 0.334 1
O8 O 0.533 0.466 0.640 1
O9 O 0.548 0.013 0.041 1
O10 O 0.667 0.101 0.368 1
O11 O 0.723 0.781 0.876 1
O12 O 0.838 0.847 0.519 1
O13 O 0.847 0.397 0.140 1
O14 O 0.971 0.443 0.835 1
```

Top 8 peaks for 2θ = 15–90°, low angle first:
2θ 17.11, rel. 100, (0 1 -1)
2θ 21.64, rel. 13, (1 0 -1)
2θ 21.74, rel. 10, (1 0 1)
2θ 22.45, rel. 34, (-1 1 1)
2θ 25.84, rel. 12, (1 1 0)
2θ 28.20, rel. 15, (1 1 1)
2θ 29.57, rel. 48, (-1 1 2)
2θ 29.91, rel. 21, (1 -2 1)

Computed X-ray diffraction stick pattern
Compound: LiVFeP4O14
Radiation: copper Kα
Structure: a PBE+U-relaxed structure
Neutral-atom scattering factors, no anomalous dispersion.

Cell and atoms:
```
data_LiVFeP4O14
_cell_length_a 4.896
_cell_length_b 6.991
_cell_length_c 8.139
_cell_angle_alpha 90.03
_cell_angle_beta 90.78
_cell_angle_gamma 107.38
_space_group_name_H-M_alt 'P 1'
_space_group_IT_number 1
loop_
_space_group_symop_operation_xyz
'x,y,z'
loop_
_atom_site_label
_atom_site_type_symbol
_atom_site_fract_x
_atom_site_fract_y
_atom_site_fract_z
_atom_site_occupancy
Li1 Li 0.000 0.000 0.000 1
V1 V 0.042 0.046 0.373 1
Fe1 Fe 0.617 0.588 0.862 1
P1 P 0.074 0.417 0.094 1
P2 P 0.225 0.836 0.685 1
P3 P 0.440 0.807 0.188 1
P4 P 0.613 0.227 0.588 1
O1 O 0.099 0.839 0.510 1
O2 O 0.222 0.928 0.190 1
O3 O 0.261 0.392 0.951 1
O4 O 0.267 0.577 0.225 1
O5 O 0.392 0.687 0.696 1
O6 O 0.420 0.222 0.437 1
O7 O 0.444 0.059 0.717 1
O8 O 0.579 0.817 0.020 1
O9 O 0.659 0.867 0.328 1
O10 O 0.699 0.420 0.685 1
O11 O 0.823 0.488 0.042 1
O12 O 0.884 0.173 0.538 1
O13 O 0.980 0.217 0.189 1
O14 O 0.995 0.817 0.815 1
```

Top 8 peaks for 2θ = 15–90°, low angle first:
2θ 17.19, rel. 100, (0 1 -1)
2θ 21.81, rel. 14, (1 0 -1)
2θ 22.42, rel. 16, (-1 1 1)
2θ 22.63, rel. 26, (1 -1 1)
2θ 26.36, rel. 16, (1 1 0)
2θ 28.92, rel. 14, (0 2 1)
2θ 29.39, rel. 28, (-1 1 2)
2θ 29.72, rel. 24, (1 -1 2)

Computed X-ray diffraction stick pattern
Compound: Li2ZnFeP2O8
Radiation: copper Kα
Structure: a PBE+U-relaxed structure
Neutral-atom scattering factors, no anomalous dispersion.

Cell and atoms:
```
data_Li2ZnFeP2O8
_cell_length_a 4.761
_cell_length_b 6.054
_cell_length_c 10.357
_cell_angle_alpha 90.00
_cell_angle_beta 90.31
_cell_angle_gamma 90.00
_space_group_name_H-M_alt 'P 1 21/m 1'
_space_group_IT_number 11
loop_
_space_group_symop_operation_xyz
'x,y,z'
'-x,-y,-z'
'-x,y+1/2,-z'
'x,-y+1/2,z'
loop_
_atom_site_label
_atom_site_type_symbol
_atom_site_fract_x
_atom_site_fract_y
_atom_site_fract_z
_atom_site_occupancy
Li1 Li 0.000 0.000 0.000 1
Li2 Li 0.500 0.000 0.500 1
Zn1 Zn 0.023 0.250 0.717 1
Fe1 Fe 0.475 0.250 0.220 1
P1 P 0.082 0.750 0.593 1
P2 P 0.417 0.750 0.096 1
O1 O 0.205 0.750 0.454 1
O2 O 0.217 0.546 0.664 1
O3 O 0.241 0.250 0.405 1
O4 O 0.259 0.250 0.900 1
O5 O 0.283 0.546 0.166 1
O6 O 0.295 0.750 0.956 1
```

Top 8 peaks for 2θ = 15–90°, low angle first:
2θ 17.12, rel. 41, (0 0 2)
2θ 20.53, rel. 60, (1 0 -1)
2θ 25.31, rel. 100, (1 1 1)
2θ 29.51, rel. 73, (0 2 0)
2θ 35.30, rel. 54, (1 1 -3)
2θ 35.45, rel. 53, (1 1 3)
2θ 36.22, rel. 30, (1 2 -1)
2θ 37.79, rel. 25, (0 1 4)